CoReBi2O6: theoretical X-ray diffraction stick pattern (Cu Kα (weighted mean of Kα1 and Kα2)), based on a cell relaxed with GGA+U.
Lines closer than 0.1° are merged.

Atomic structure:
Unit cell a=9.682 b=5.508 c=9.912 alpha=90.00 beta=108.09 gamma=90.00
Space group C2 (No. 5)
Unique sites:
Co1 0.250 0.000 0.250 x4
Re1 0.000 0.020 0.500 x2
Re2 0.000 0.480 0.000 x2
Bi1 0.131 0.016 0.876 x4
Bi2 0.131 0.484 0.376 x4
O1 0.075 0.058 0.332 x4
O2 0.076 0.442 0.832 x4
O3 0.150 0.218 0.083 x4
O4 0.150 0.282 0.583 x4
O5 0.161 0.699 0.120 x4
O6 0.161 0.800 0.619 x4

Top 10 peaks for 2θ from 15° to 90°, by angle:
2θ/deg, Rel. int.
31.10, 49
31.59, 100
32.15, 96
32.51, 44
45.61, 46
45.78, 23
55.29, 24
56.36, 22
57.27, 21
57.43, 19